This entry pairs a crystal structure of RbLi2MoF8 with its simulated powder X-ray diffraction pattern. Radiation: Cu Kα, 1.54184 Å. Structure: DFT lattice parameters and positions (GGA+U).

Main lines, sorted by position (10 to 80 degrees two-theta):
d_spacing	2θ/deg	Rel. int.	(hkl)
4.806	18.46	100	0 1 0
4.026	22.08	56	1 1 0
3.917	22.70	48	0 0 2
3.132	28.50	33	0 1 2
2.995	29.83	21	1 -1 0
2.949	30.31	31	0 1 -2
2.449	36.69	27	2 1 0
2.379	37.81	52	1 -1 2

Structural model:
Unit cell a=5.0296 b=5.0396 c=7.8760 alpha=85.28 beta=85.27 gamma=73.01
Positions (direct):
Rb  0.0000  0.0000  0.0000
Li  0.4968  0.4969  0.8334
Li  0.5032  0.5031  0.1666
Mo  0.0000  0.0000  0.5000
F  0.2193  0.7601  0.6780
F  0.2320  0.2314  0.4910
F  0.2401  0.7807  0.3220
F  0.3384  0.3378  0.0209
F  0.6616  0.6622  0.9791
F  0.7599  0.2193  0.6780
F  0.7680  0.7686  0.5090
F  0.7807  0.2399  0.3220